Entry 1:
Diffraction record for NaSrNiAs. The X-ray powder pattern is computed, not measured: it uses a structure optimized by DFT (PBE) and λ = 1.5418 Å (Cu Kα).
No peak broadening, texture or thermal motion is included.

Cell and atoms:
a = 4.799 Å, b = 4.799 Å, c = 4.799 Å
α = 60.00°, β = 60.00°, γ = 60.00°
Fractional positions:
Na 0.000 0.000 0.000
Sr 0.750 0.750 0.750
Ni 0.500 0.500 0.500
As 0.250 0.250 0.250

The 10 most intense peaks (2θ from 15° to 90°), in order of rising 2θ:
| Position (°2θ) | Rel. int. |
| --- | --- |
| 22.69 | 7 |
| 26.26 | 11 |
| 37.48 | 100 |
| 44.26 | 3 |
| 46.34 | 3 |
| 54.04 | 17 |
| 61.05 | 5 |
| 67.62 | 33 |
| 79.96 | 10 |
| 85.92 | 3 |

=====

Entry 2:
Diffraction record for NaTmAsO4. The X-ray powder pattern is computed, not measured: it uses a structure optimized by DFT (PBE) and λ = 1.5418 Å (Cu Kα).
No peak broadening, texture or thermal motion is included.

Cell and atoms:
a = 8.699 Å, b = 8.699 Å, c = 8.699 Å
α = 37.47°, β = 37.47°, γ = 37.47°
Fractional positions:
Na 0.213 0.213 0.213
Na 0.787 0.787 0.787
Tm 0.346 0.346 0.346
Tm 0.654 0.654 0.654
As 0.056 0.056 0.056
As 0.944 0.944 0.944
O 0.016 0.728 0.401
O 0.126 0.126 0.126
O 0.272 0.599 0.984
O 0.401 0.016 0.728
O 0.599 0.984 0.272
O 0.728 0.401 0.016
O 0.874 0.874 0.874
O 0.984 0.272 0.599

The 10 most intense peaks (2θ from 15° to 90°), in order of rising 2θ:
| Position (°2θ) | Rel. int. |
| --- | --- |
| 23.53 | 39 |
| 31.78 | 69 |
| 32.03 | 100 |
| 33.95 | 65 |
| 39.21 | 23 |
| 41.68 | 33 |
| 45.75 | 29 |
| 56.94 | 30 |
| 57.10 | 29 |
| 58.33 | 21 |

=====

Q: Number 2 is which compound?
A: NaTmAsO4

=====

Please write out number 2 again, unchanged.
Diffraction record for NaTmAsO4. The X-ray powder pattern is computed, not measured: it uses a structure optimized by DFT (PBE) and λ = 1.5418 Å (Cu Kα).
No peak broadening, texture or thermal motion is included.

Cell and atoms:
a = 8.699 Å, b = 8.699 Å, c = 8.699 Å
α = 37.47°, β = 37.47°, γ = 37.47°
Fractional positions:
Na 0.213 0.213 0.213
Na 0.787 0.787 0.787
Tm 0.346 0.346 0.346
Tm 0.654 0.654 0.654
As 0.056 0.056 0.056
As 0.944 0.944 0.944
O 0.016 0.728 0.401
O 0.126 0.126 0.126
O 0.272 0.599 0.984
O 0.401 0.016 0.728
O 0.599 0.984 0.272
O 0.728 0.401 0.016
O 0.874 0.874 0.874
O 0.984 0.272 0.599

The 10 most intense peaks (2θ from 15° to 90°), in order of rising 2θ:
| Position (°2θ) | Rel. int. |
| --- | --- |
| 23.53 | 39 |
| 31.78 | 69 |
| 32.03 | 100 |
| 33.95 | 65 |
| 39.21 | 23 |
| 41.68 | 33 |
| 45.75 | 29 |
| 56.94 | 30 |
| 57.10 | 29 |
| 58.33 | 21 |